The following is a computed powder diffraction line list of Tb3Al8Zn3. It was derived from a cell relaxed with PBE, using Cu Kα (λ = 1.5418 Å).
No peak broadening, texture or thermal motion is included.

Structural model:
a b c (Å): 8.270 8.270 8.270
angles (deg): 149.96 105.05 82.80
Fractional coordinates of all 14 atoms:
Tb 0.000 0.000 0.000
Tb 0.315 0.315 0.000
Tb 0.685 0.685 0.000
Al 0.032 0.661 0.371
Al 0.147 0.867 0.280
Al 0.290 0.661 0.629
Al 0.413 0.133 0.280
Al 0.587 0.867 0.720
Al 0.710 0.339 0.371
Al 0.853 0.133 0.720
Al 0.968 0.339 0.629
Zn 0.291 0.500 0.791
Zn 0.500 0.000 0.500
Zn 0.709 0.500 0.209

Main lines, low angle first (2θ from 15° to 90°):
2θ = 17.6°, rel. 24; 2θ = 22.5°, rel. 33; 2θ = 23.3°, rel. 22; 2θ = 30.0°, rel. 23; 2θ = 33.9°, rel. 24; 2θ = 34.4°, rel. 27; 2θ = 35.0°, rel. 100; 2θ = 42.1°, rel. 28